Entry 1:
Computed powder XRD pattern
Compound: Mn5As4
Radiation: Cu Ka
Structure: the GGA-PBE geometry in the Materials Project
Lines closer than 0.1° are merged.

Structural model:
```
data_Mn5As4
_cell_length_a 3.485
_cell_length_b 13.131
_cell_length_c 11.873
_cell_angle_alpha 90.00
_cell_angle_beta 90.00
_cell_angle_gamma 90.00
_symmetry_space_group_name_H-M 'C m c 21'
_symmetry_Int_Tables_number 36
loop_
_symmetry_equiv_pos_as_xyz
'x,y,z'
'-x,-y,z+1/2'
'-x,y,z'
'x,-y,z+1/2'
'x+1/2,y+1/2,z'
'-x+1/2,-y+1/2,z+1/2'
'-x+1/2,y+1/2,z'
'x+1/2,-y+1/2,z+1/2'
loop_
_atom_site_label
_atom_site_type_symbol
_atom_site_fract_x
_atom_site_fract_y
_atom_site_fract_z
Mn1 Mn 0.000 0.023 0.000
Mn2 Mn 0.000 0.169 0.425
Mn3 Mn 0.000 0.222 0.114
Mn4 Mn 0.000 0.371 0.278
Mn5 Mn 0.000 0.440 0.668
As1 As 0.000 0.010 0.298
As2 As 0.000 0.271 0.769
As3 As 0.000 0.345 0.487
As4 As 0.000 0.400 0.063
```

Most intense lines, 2θ from 10° to 90°, sorted by position:
2θ 30.51, d = 2.930 Å, intensity 46, hkl 1 1 2
2θ 32.85, d = 2.726 Å, intensity 44, hkl 1 3 0
2θ 34.98, d = 2.565 Å, intensity 79, hkl 1 1 3
2θ 40.16, d = 2.245 Å, intensity 48, hkl 1 3 3
2θ 43.83, d = 2.065 Å, intensity 47, hkl 1 5 1
2θ 45.16, d = 2.008 Å, intensity 100, hkl 1 3 4
2θ 51.00, d = 1.791 Å, intensity 38, hkl 1 3 5
2θ 52.52, d = 1.743 Å, intensity 54, hkl 2 0 0


Entry 2:
Computed powder XRD pattern
Compound: ScTe3
Radiation: Cu Ka
Structure: the GGA-PBE geometry in the Materials Project
Lines closer than 0.1° are merged.

Structural model:
```
data_ScTe3
_cell_length_a 7.1436
_cell_length_b 7.1436
_cell_length_c 5.1005
_cell_angle_alpha 90.00
_cell_angle_beta 90.00
_cell_angle_gamma 120.00
_symmetry_space_group_name_H-M 'P 63/m m c'
_symmetry_Int_Tables_number 194
_symmetry_space_group_name_Hall '-P 6c 2c'
loop_
_atom_site_label
_atom_site_type_symbol
_atom_site_fract_x
_atom_site_fract_y
_atom_site_fract_z
Sc1 Sc 0.3333 0.6667 0.2500
Te1 Te 0.1842 0.3684 0.7500
```

Most intense lines, 2θ from 10° to 90°, sorted by position:
2θ 22.59, d = 3.935 Å, intensity 22, hkl 1 0 1
2θ 28.86, d = 3.093 Å, intensity 26, hkl 2 0 0
2θ 33.89, d = 2.645 Å, intensity 100, hkl 2 0 1
2θ 35.19, d = 2.550 Å, intensity 22, hkl 0 0 2
2θ 46.13, d = 1.968 Å, intensity 14, hkl 2 0 2
2θ 51.15, d = 1.786 Å, intensity 17, hkl 2 2 0
2θ 62.32, d = 1.490 Å, intensity 17, hkl 2 0 3
2θ 63.60, d = 1.463 Å, intensity 17, hkl 2 2 2


Entry 3:
Computed powder XRD pattern
Compound: NaPu
Radiation: Cu Ka
Structure: the GGA-PBE geometry in the Materials Project
Lines closer than 0.1° are merged.

Structural model:
```
data_NaPu
_cell_length_a 12.4908
_cell_length_b 12.4908
_cell_length_c 8.6641
_cell_angle_alpha 90.00
_cell_angle_beta 90.00
_cell_angle_gamma 120.00
_symmetry_space_group_name_H-M 'R -3'
_symmetry_Int_Tables_number 148
_symmetry_space_group_name_Hall '-R 3'
loop_
_atom_site_label
_atom_site_type_symbol
_atom_site_fract_x
_atom_site_fract_y
_atom_site_fract_z
Na1 Na 0.0606 0.1750 0.3420
Pu1 Pu 0.0463 0.6031 0.6498
```

Most intense lines, 2θ from 10° to 90°, sorted by position:
2θ 13.09, d = 6.762 Å, intensity 43, hkl 1 0 1
2θ 14.18, d = 6.245 Å, intensity 59, hkl 1 1 0
2θ 19.35, d = 4.588 Å, intensity 48, hkl 0 2 1
2θ 30.05, d = 2.973 Å, intensity 32, hkl 1 2 2
2θ 30.96, d = 2.888 Å, intensity 34, hkl 0 0 3
2θ 31.56, d = 2.835 Å, intensity 100, hkl 4 -3 1
2θ 36.43, d = 2.466 Å, intensity 70, hkl 3 1 2
2θ 62.53, d = 1.485 Å, intensity 22, hkl 2 5 3


Entry 4:
Computed powder XRD pattern
Compound: TbAgHg2
Radiation: Cu Ka
Structure: the GGA-PBE geometry in the Materials Project
Lines closer than 0.1° are merged.

Structural model:
```
data_TbAgHg2
_cell_length_a 7.126
_cell_length_b 7.126
_cell_length_c 7.126
_cell_angle_alpha 90.00
_cell_angle_beta 90.00
_cell_angle_gamma 90.00
_symmetry_space_group_name_H-M 'F m -3 m'
_symmetry_Int_Tables_number 225
_symmetry_space_group_name_Hall '-F 4 2 3'
loop_
_atom_site_label
_atom_site_type_symbol
_atom_site_fract_x
_atom_site_fract_y
_atom_site_fract_z
Tb1 Tb 0.000 0.000 0.000
Ag1 Ag 0.000 0.000 0.500
Hg1 Hg 0.250 0.250 0.250
```

Most intense lines, 2θ from 10° to 90°, sorted by position:
2θ 24.99, d = 3.563 Å, intensity 4, hkl 2 0 0
2θ 35.63, d = 2.519 Å, intensity 100, hkl 2 2 0
2θ 44.02, d = 2.057 Å, intensity 1, hkl 2 2 2
2θ 51.28, d = 1.782 Å, intensity 18, hkl 4 0 0
2θ 57.87, d = 1.593 Å, intensity 2, hkl 4 2 0
2θ 64.01, d = 1.455 Å, intensity 37, hkl 4 2 2
2θ 75.46, d = 1.260 Å, intensity 11, hkl 4 4 0
2θ 86.35, d = 1.127 Å, intensity 17, hkl 6 2 0


Entry 5:
Computed powder XRD pattern
Compound: LiMg2
Radiation: Cu Ka
Structure: the GGA-PBE geometry in the Materials Project
Lines closer than 0.1° are merged.

Structural model:
```
data_LiMg2
_cell_length_a 5.4731
_cell_length_b 5.4731
_cell_length_c 4.9824
_cell_angle_alpha 90.00
_cell_angle_beta 90.00
_cell_angle_gamma 120.00
_symmetry_space_group_name_H-M 'P -6 2 m'
_symmetry_Int_Tables_number 189
_symmetry_space_group_name_Hall 'P -6 -2'
loop_
_atom_site_label
_atom_site_type_symbol
_atom_site_fract_x
_atom_site_fract_y
_atom_site_fract_z
Li1 Li 0.3333 0.6667 0.0000
Mg1 Mg 0.0000 0.0000 0.0000
Mg2 Mg 0.0000 0.6634 0.5000
```

Most intense lines, 2θ from 10° to 90°, sorted by position:
2θ 17.80, d = 4.982 Å, intensity 20, hkl 0 0 1
2θ 32.72, d = 2.737 Å, intensity 33, hkl 1 1 0
2θ 36.05, d = 2.491 Å, intensity 24, hkl 0 0 2
2θ 37.50, d = 2.399 Å, intensity 100, hkl 1 1 1
2θ 49.48, d = 1.842 Å, intensity 20, hkl 1 1 2
2θ 58.41, d = 1.580 Å, intensity 17, hkl 3 0 0
2θ 65.77, d = 1.420 Å, intensity 18, hkl 1 1 3
2θ 70.59, d = 1.334 Å, intensity 18, hkl 3 0 2


Entry 6:
Computed powder XRD pattern
Compound: KH3
Radiation: Cu Ka
Structure: the GGA-PBE geometry in the Materials Project
Lines closer than 0.1° are merged.

Structural model:
```
data_KH3
_cell_length_a 4.148
_cell_length_b 4.148
_cell_length_c 6.313
_cell_angle_alpha 90.00
_cell_angle_beta 90.00
_cell_angle_gamma 90.00
_symmetry_space_group_name_H-M 'I 4/m m m'
_symmetry_Int_Tables_number 139
_symmetry_space_group_name_Hall '-I 4 2'
loop_
_atom_site_label
_atom_site_type_symbol
_atom_site_fract_x
_atom_site_fract_y
_atom_site_fract_z
K1 K 0.000 0.000 0.000
H1 H 0.000 0.000 0.500
H2 H 0.000 0.500 0.250
```

Most intense lines, 2θ from 10° to 90°, sorted by position:
2θ 25.70, d = 3.467 Å, intensity 100, hkl 1 0 1
2θ 28.27, d = 3.157 Å, intensity 19, hkl 0 0 2
2θ 30.47, d = 2.933 Å, intensity 31, hkl 1 1 0
2θ 42.05, d = 2.149 Å, intensity 30, hkl 1 1 2
2θ 43.64, d = 2.074 Å, intensity 13, hkl 2 0 0
2θ 48.51, d = 1.877 Å, intensity 15, hkl 1 0 3
2θ 51.33, d = 1.780 Å, intensity 25, hkl 2 1 1
2θ 67.31, d = 1.391 Å, intensity 15, hkl 2 1 3


Entry 7:
Computed powder XRD pattern
Compound: La10Al5Br4
Radiation: Cu Ka
Structure: the GGA-PBE geometry in the Materials Project
Lines closer than 0.1° are merged.

Structural model:
```
data_La10Al5Br4
_cell_length_a 8.279
_cell_length_b 8.279
_cell_length_c 33.364
_cell_angle_alpha 90.00
_cell_angle_beta 90.00
_cell_angle_gamma 90.00
_symmetry_space_group_name_H-M 'I 4/m c m'
_symmetry_Int_Tables_number 140
_symmetry_space_group_name_Hall '-I 4 2c'
loop_
_atom_site_label
_atom_site_type_symbol
_atom_site_fract_x
_atom_site_fract_y
_atom_site_fract_z
La1 La 0.000 0.000 0.152
La2 La 0.168 0.332 0.204
La3 La 0.172 0.328 0.072
Al1 Al 0.000 0.000 0.250
Al2 Al 0.119 0.381 0.365
Br1 Br 0.000 0.000 0.056
Br2 Br 0.142 0.358 0.500
```

Most intense lines, 2θ from 10° to 90°, sorted by position:
2θ 21.30, d = 4.171 Å, intensity 13, hkl 0 0 8
2θ 24.19, d = 3.680 Å, intensity 15, hkl 2 1 1
2θ 30.57, d = 2.924 Å, intensity 100, hkl 2 1 7
2θ 30.85, d = 2.899 Å, intensity 16, hkl 1 1 10
2θ 34.25, d = 2.618 Å, intensity 46, hkl 3 1 0
2θ 34.53, d = 2.598 Å, intensity 17, hkl 2 0 10
2θ 49.25, d = 1.850 Å, intensity 21, hkl 4 1 7
2θ 63.60, d = 1.463 Å, intensity 14, hkl 5 2 7


Entry 8:
Computed powder XRD pattern
Compound: CaMg6CO8
Radiation: Cu Ka
Structure: the GGA-PBE geometry in the Materials Project
Lines closer than 0.1° are merged.

Structural model:
```
data_CaMg6CO8
_cell_length_a 4.331
_cell_length_b 4.331
_cell_length_c 8.652
_cell_angle_alpha 90.00
_cell_angle_beta 90.00
_cell_angle_gamma 90.00
_symmetry_space_group_name_H-M 'P 4/m m m'
_symmetry_Int_Tables_number 123
_symmetry_space_group_name_Hall '-P 4 2'
loop_
_atom_site_label
_atom_site_type_symbol
_atom_site_fract_x
_atom_site_fract_y
_atom_site_fract_z
Ca1 Ca 0.000 0.000 0.000
Mg1 Mg 0.000 0.000 0.500
Mg2 Mg 0.000 0.500 0.252
Mg3 Mg 0.500 0.500 0.500
C1 C 0.500 0.500 0.000
O1 O 0.000 0.000 0.264
O2 O 0.000 0.500 0.000
O3 O 0.000 0.500 0.500
O4 O 0.500 0.500 0.250
```

Most intense lines, 2θ from 10° to 90°, sorted by position:
2θ 20.51, d = 4.331 Å, intensity 4, hkl 1 0 0
2θ 22.96, d = 3.873 Å, intensity 5, hkl 1 0 1
2θ 29.18, d = 3.061 Å, intensity 3, hkl 1 0 2
2θ 35.93, d = 2.500 Å, intensity 10, hkl 1 1 2
2θ 41.72, d = 2.165 Å, intensity 100, hkl 2 0 0
2θ 60.48, d = 1.531 Å, intensity 55, hkl 2 2 0
2θ 72.40, d = 1.305 Å, intensity 7, hkl 1 1 6
2θ 76.17, d = 1.250 Å, intensity 17, hkl 2 2 4


Entry 9:
Computed powder XRD pattern
Compound: NaEuHg2
Radiation: Cu Ka
Structure: the GGA-PBE geometry in the Materials Project
Lines closer than 0.1° are merged.

Structural model:
```
data_NaEuHg2
_cell_length_a 7.621
_cell_length_b 7.621
_cell_length_c 7.621
_cell_angle_alpha 90.00
_cell_angle_beta 90.00
_cell_angle_gamma 90.00
_symmetry_space_group_name_H-M 'F m -3 m'
_symmetry_Int_Tables_number 225
_symmetry_space_group_name_Hall '-F 4 2 3'
loop_
_atom_site_label
_atom_site_type_symbol
_atom_site_fract_x
_atom_site_fract_y
_atom_site_fract_z
Na1 Na 0.000 0.000 0.000
Eu1 Eu 0.000 0.000 0.500
Hg1 Hg 0.250 0.250 0.250
```

Most intense lines, 2θ from 10° to 90°, sorted by position:
2θ 20.18, d = 4.400 Å, intensity 11, hkl 1 1 1
2θ 23.35, d = 3.810 Å, intensity 18, hkl 2 0 0
2θ 33.25, d = 2.694 Å, intensity 100, hkl 2 2 0
2θ 47.74, d = 1.905 Å, intensity 18, hkl 4 0 0
2θ 53.80, d = 1.704 Å, intensity 8, hkl 4 2 0
2θ 59.42, d = 1.556 Å, intensity 38, hkl 4 2 2
2θ 69.82, d = 1.347 Å, intensity 12, hkl 4 4 0
2θ 79.55, d = 1.205 Å, intensity 17, hkl 6 2 0


Entry 10:
Computed powder XRD pattern
Compound: CaB2H4
Radiation: Cu Ka
Structure: the GGA-PBE geometry in the Materials Project
Lines closer than 0.1° are merged.

Structural model:
```
data_CaB2H4
_cell_length_a 4.047
_cell_length_b 3.318
_cell_length_c 17.290
_cell_angle_alpha 90.00
_cell_angle_beta 95.38
_cell_angle_gamma 90.00
_symmetry_space_group_name_H-M 'P 1 m 1'
_symmetry_Int_Tables_number 6
loop_
_symmetry_equiv_pos_as_xyz
'x,y,z'
'x,-y,z'
loop_
_atom_site_label
_atom_site_type_symbol
_atom_site_fract_x
_atom_site_fract_y
_atom_site_fract_z
Ca1 Ca 0.000 0.000 0.000
Ca2 Ca 0.101 0.500 0.214
Ca3 Ca 0.478 0.000 0.523
Ca4 Ca 0.613 0.500 0.722
B1 B 0.073 0.000 0.642
B2 B 0.192 0.000 0.349
B3 B 0.357 0.500 0.379
B4 B 0.502 0.000 0.135
B5 B 0.578 0.500 0.093
B6 B 0.647 0.000 0.851
B7 B 0.817 0.500 0.875
B8 B 0.976 0.500 0.599
H1 H 0.007 0.000 0.287
H2 H 0.023 0.000 0.715
H3 H 0.107 0.500 0.901
H4 H 0.188 0.000 0.136
H5 H 0.268 0.500 0.447
H6 H 0.376 0.000 0.814
H7 H 0.388 0.000 0.651
H8 H 0.446 0.500 0.024
H9 H 0.583 0.000 0.208
H10 H 0.598 0.256 0.914
H11 H 0.660 0.500 0.386
H12 H 0.666 0.500 0.587
H13 H 0.881 0.500 0.080
H14 H 0.942 0.132 0.389
```

Most intense lines, 2θ from 10° to 90°, sorted by position:
2θ 10.28, d = 8.607 Å, intensity 41, hkl 0 0 2
2θ 22.18, d = 4.007 Å, intensity 100, hkl 1 0 -1
2θ 28.84, d = 3.096 Å, intensity 79, hkl 0 1 2
2θ 35.75, d = 2.512 Å, intensity 37, hkl 1 1 1
2θ 35.86, d = 2.504 Å, intensity 36, hkl 1 0 5
2θ 37.59, d = 2.393 Å, intensity 72, hkl 1 1 -3
2θ 39.37, d = 2.289 Å, intensity 44, hkl 1 1 3
2θ 41.61, d = 2.170 Å, intensity 32, hkl 0 1 6